This entry pairs a crystal structure of Mg2Mn3O7 with its calculated powder diffractogram. Radiation: Cu Kα X-rays. Structure: the GGA+U geometry in Alexandria.
Intensities are scaled so that the largest is 100.

Largest 8 diffraction maxima, sorted by position, 2θ from 15° to 90°:
d/Å  2theta  I_rel  (hkl)
3.787  23.49  51  1 1 -1
3.222  27.69  53  1 1 2
3.195  27.92  34  0 2 0
3.099  28.80  38  0 2 1
2.897  30.86  100  1 0 -2
2.700  33.18  27  2 0 -1
2.634  34.04  34  1 1 -2
1.945  46.69  44  3 1 2

a b c (Å): 6.4329 6.7887 7.1061
angles (deg): 78.49 81.39 72.47
Space group P-1 (No. 2)
Unique sites:
Mg (0.0622, 0.4980, 0.1907) (multiplicity 2)
Mg (0.3021, 0.1859, 0.5060) (multiplicity 2)
Mn (0.1766, 0.8029, 0.3420) (multiplicity 2)
Mn (0.3093, 0.1624, 0.9419) (multiplicity 2)
Mn (0.3767, 0.6666, 0.7646) (multiplicity 2)
O (0.0300, 0.2361, 0.3667) (multiplicity 2)
O (0.0800, 0.1002, 0.2153) (multiplicity 2)
O (0.0977, 0.2210, 0.7458) (multiplicity 2)
O (0.2225, 0.4608, 0.9333) (multiplicity 2)
O (0.3025, 0.4993, 0.3459) (multiplicity 2)
O (0.3769, 0.8658, 0.4838) (multiplicity 2)
O (0.4280, 0.8671, 0.9373) (multiplicity 2)